Structure and simulated powder XRD pattern of LiMnVP3O12 (a GGA+U-relaxed structure; Cu Kα (weighted mean of Kα1 and Kα2)).
Kinematic intensities with the Lorentz-polarization factor, no thermal factor.

Crystal structure
Lattice parameters (Å, degrees): 8.254 8.286 8.832 89.80 63.52 60.83
Space group P1 (No. 1)
Symmetry-distinct sites (fractional):
1 Li 0.000 0.000 0.000 [1 per cell]
2 Li 0.237 0.323 0.988 [1 per cell]
3 Mn 0.477 0.903 0.681 [1 per cell]
4 Mn 0.895 0.211 0.547 [1 per cell]
5 V 0.477 0.416 0.172 [1 per cell]
6 V 0.864 0.719 0.072 [1 per cell]
7 P 0.386 0.602 0.871 [1 per cell]
8 P 0.393 0.806 0.369 [1 per cell]
9 P 0.680 0.031 0.862 [1 per cell]
10 P 0.683 0.095 0.369 [1 per cell]
11 P 0.958 0.322 0.870 [1 per cell]
12 P 0.976 0.515 0.365 [1 per cell]
13 O 0.042 0.310 0.374 [1 per cell]
14 O 0.171 0.196 0.864 [1 per cell]
15 O 0.181 0.590 0.938 [1 per cell]
16 O 0.186 0.935 0.374 [1 per cell]
17 O 0.188 0.517 0.296 [1 per cell]
18 O 0.311 0.812 0.864 [1 per cell]
19 O 0.383 0.834 0.544 [1 per cell]
20 O 0.448 0.572 0.019 [1 per cell]
21 O 0.477 0.588 0.304 [1 per cell]
22 O 0.498 0.227 0.007 [1 per cell]
23 O 0.536 0.235 0.298 [1 per cell]
24 O 0.544 0.067 0.535 [1 per cell]
25 O 0.564 0.942 0.842 [1 per cell]
26 O 0.567 0.453 0.701 [1 per cell]
27 O 0.576 0.833 0.225 [1 per cell]
28 O 0.797 0.277 0.012 [1 per cell]
29 O 0.798 0.183 0.388 [1 per cell]
30 O 0.798 0.672 0.530 [1 per cell]
31 O 0.824 0.050 0.692 [1 per cell]
32 O 0.831 0.897 0.934 [1 per cell]
33 O 0.862 0.903 0.213 [1 per cell]
34 O 0.877 0.540 0.935 [1 per cell]
35 O 0.931 0.539 0.208 [1 per cell]
36 O 0.975 0.293 0.693 [1 per cell]

Most intense lines, 10 to 80 degrees two-theta, by intensity:
d_spacing  I (rel.)  (hkl)
6.022  100.0  1 1 1
3.665  76.8  2 1 0
3.011  73.5  2 2 2
6.206  51.8  1 0 0
4.384  48.1  1 0 2
4.472  47.1  1 1 -1
3.733  46.7  1 -1 0
4.551  45.6  0 1 1
3.601  40.3  1 -1 2
3.583  38.6  2 1 2
3.616  35.6  1 2 -1
3.103  35.4  2 0 0